This entry pairs a crystal structure of Rb2NiBr6F with its calculated powder XRD pattern. Radiation: Cu Ka. Structure: a GGA+U-relaxed structure.
No peak broadening, texture or thermal motion is included.

Largest 10 diffraction maxima, by angle, 15 to 90 degrees two-theta:
- 2θ = 29.38°, intensity 100, hkl 2 0 2
- 2θ = 32.18°, intensity 30, hkl 0 0 4
- 2θ = 34.96°, intensity 54, hkl 2 2 0
- 2θ = 48.25°, intensity 37, hkl 2 2 4
- 2θ = 50.28°, intensity 19, hkl 4 0 0
- 2θ = 55.66°, intensity 12, hkl 2 0 6
- 2θ = 59.31°, intensity 26, hkl 4 2 2
- 2θ = 60.96°, intensity 18, hkl 4 0 4
- 2θ = 78.28°, intensity 9, hkl 4 2 6
- 2θ = 84.40°, intensity 8, hkl 6 2 0

Cell and atoms:
a b c (Å): 7.2585 7.2585 11.1267
angles (deg): 90.00 90.00 90.00
Space group I4/mmm (No. 139)
One atom of each set of equivalent atoms:
Rb  0.0000  0.5000  0.2500 [4 per cell]
Ni  0.0000  0.0000  0.0000 [2 per cell]
Br  0.0000  0.0000  0.2192 [4 per cell]
Br  0.2445  0.2445  0.0000 [8 per cell]
F  0.0000  0.0000  0.5000 [2 per cell]